Entry 1:
For Y2PdPt5, a DFT-relaxed cell (GGA-PBE, Alexandria) gives the calculated powder X-ray diffraction pattern in this record (Cu Kα (λ = 1.5418 Å)).

The 6 most intense peaks (15 to 90 degrees two-theta), by intensity:
| two_theta | d (Å) | I_rel | index |
| --- | --- | --- | --- |
| 37.75 | 2.383 | 100 | 0 4 1 |
| 43.86 | 2.064 | 49 | 0 0 2 |
| 76.54 | 1.245 | 38 | 0 4 3 |
| 63.77 | 1.459 | 32 | 0 8 0 |
| 80.62 | 1.192 | 11 | 0 8 2 |
| 21.53 | 4.128 | 6 | 1 2 0 |

Structure:
```
data_Y2PdPt5
_symmetry_space_group_name_H-M 'P b a m'
_symmetry_Int_Tables_number 55
_symmetry_space_group_name_Hall '-P 2 2ab'
_cell_length_a 5.836
_cell_length_b 11.678
_cell_length_c 4.129
_cell_angle_alpha 90.00
_cell_angle_beta 90.00
_cell_angle_gamma 90.00
loop_
_atom_site_label
_atom_site_fract_x
_atom_site_fract_y
_atom_site_fract_z
Y1 0.246 0.124 0.000
Pd1 0.000 0.000 0.500
Pt1 0.000 0.500 0.500
Pt2 0.006 0.750 0.500
Pt3 0.244 0.374 0.000
```


Entry 2:
For Zn2Pd6Pt, a DFT-relaxed cell (GGA-PBE, Alexandria) gives the calculated powder X-ray diffraction pattern in this record (Cu Kα (λ = 1.5418 Å)).

The 6 most intense peaks (15 to 90 degrees two-theta), by intensity:
| two_theta | d (Å) | I_rel | index |
| --- | --- | --- | --- |
| 39.84 | 2.263 | 100 | 3 0 1 |
| 46.86 | 1.939 | 31 | 3 3 0 |
| 82.21 | 1.173 | 23 | 6 3 1 |
| 67.19 | 1.393 | 21 | 3 3 2 |
| 45.25 | 2.004 | 17 | 0 0 2 |
| 79.88 | 1.201 | 13 | 3 0 3 |

Structure:
```
data_Zn2Pd6Pt
_symmetry_space_group_name_H-M 'P 42/m n m'
_symmetry_Int_Tables_number 136
_symmetry_space_group_name_Hall '-P 4n 2n'
_cell_length_a 8.226
_cell_length_b 8.226
_cell_length_c 4.008
_cell_angle_alpha 90.00
_cell_angle_beta 90.00
_cell_angle_gamma 90.00
loop_
_atom_site_label
_atom_site_fract_x
_atom_site_fract_y
_atom_site_fract_z
Zn1 0.168 0.168 0.000
Pd1 0.001 0.668 0.500
Pd2 0.164 0.836 0.000
Pt1 0.000 0.000 0.500
```


Entry 3:
For Zn8PdPt3, a DFT-relaxed cell (GGA-PBE, Alexandria) gives the calculated powder X-ray diffraction pattern in this record (Cu Kα (λ = 1.5418 Å)).

The 6 most intense peaks (15 to 90 degrees two-theta), by intensity:
| two_theta | d (Å) | I_rel | index |
| --- | --- | --- | --- |
| 42.97 | 2.105 | 100 | 2 2 4 |
| 26.13 | 3.411 | 60 | 2 0 2 |
| 25.58 | 3.483 | 55 | 0 2 2 |
| 50.98 | 1.791 | 28 | 0 2 6 |
| 41.91 | 2.156 | 27 | 0 4 0 |
| 43.32 | 2.089 | 24 | 4 0 0 |

Structure:
```
data_Zn8PdPt3
_symmetry_space_group_name_H-M 'F m m m'
_symmetry_Int_Tables_number 69
_symmetry_space_group_name_Hall '-F 2 2'
_cell_length_a 8.354
_cell_length_b 8.623
_cell_length_c 11.816
_cell_angle_alpha 90.00
_cell_angle_beta 90.00
_cell_angle_gamma 90.00
loop_
_atom_site_label
_atom_site_fract_x
_atom_site_fract_y
_atom_site_fract_z
Zn1 0.000 0.249 0.122
Zn2 0.249 0.000 0.129
Pd1 0.000 0.000 0.500
Pt1 0.000 0.000 0.000
Pt2 0.250 0.250 0.250
```


Entry 4:
For ZnPdPt, a DFT-relaxed cell (GGA-PBE, Alexandria) gives the calculated powder X-ray diffraction pattern in this record (Cu Kα (λ = 1.5418 Å)).

The 6 most intense peaks (15 to 90 degrees two-theta), by intensity:
| two_theta | d (Å) | I_rel | index |
| --- | --- | --- | --- |
| 40.02 | 2.253 | 100 | 3 1 -1 |
| 45.03 | 2.013 | 73 | 3 1 1 |
| 39.69 | 2.271 | 49 | 0 0 2 |
| 40.51 | 2.227 | 48 | 6 0 0 |
| 49.61 | 1.837 | 23 | 6 0 -2 |
| 68.66 | 1.367 | 16 | 3 1 -3 |

Structure:
```
data_ZnPdPt
_symmetry_space_group_name_H-M 'C 1 m 1'
_symmetry_Int_Tables_number 8
_symmetry_space_group_name_Hall 'C -2y'
_cell_length_a 13.803
_cell_length_b 2.852
_cell_length_c 4.692
_cell_angle_alpha 90.00
_cell_angle_beta 104.56
_cell_angle_gamma 90.00
loop_
_atom_site_label
_atom_site_fract_x
_atom_site_fract_y
_atom_site_fract_z
Zn1 0.000 0.000 0.000
Zn2 0.181 0.000 0.573
Pd1 0.163 0.500 0.066
Pd2 0.341 0.000 0.033
Pt1 0.017 0.500 0.508
Pt2 0.340 0.500 0.528
```


Entry 5:
For Zn5Pd2Pt, a DFT-relaxed cell (GGA-PBE, Alexandria) gives the calculated powder X-ray diffraction pattern in this record (Cu Kα (λ = 1.5418 Å)).

The 6 most intense peaks (15 to 90 degrees two-theta), by intensity:
| two_theta | d (Å) | I_rel | index |
| --- | --- | --- | --- |
| 40.54 | 2.225 | 100 | 1 1 4 |
| 44.31 | 2.044 | 39 | 2 0 0 |
| 78.99 | 1.212 | 27 | 3 1 4 |
| 71.09 | 1.326 | 18 | 2 0 8 |
| 64.46 | 1.445 | 12 | 2 2 0 |
| 52.52 | 1.742 | 12 | 0 0 8 |

Structure:
```
data_Zn5Pd2Pt
_symmetry_space_group_name_H-M 'I 4/m m m'
_symmetry_Int_Tables_number 139
_symmetry_space_group_name_Hall '-I 4 2'
_cell_length_a 4.088
_cell_length_b 4.088
_cell_length_c 13.940
_cell_angle_alpha 90.00
_cell_angle_beta 90.00
_cell_angle_gamma 90.00
loop_
_atom_site_label
_atom_site_fract_x
_atom_site_fract_y
_atom_site_fract_z
Zn1 0.000 0.000 0.000
Zn2 0.000 0.500 0.127
Pd1 0.000 0.000 0.252
Pt1 0.000 0.000 0.500
```


Entry 6:
For ZnPd4Pt4, a DFT-relaxed cell (GGA-PBE, Alexandria) gives the calculated powder X-ray diffraction pattern in this record (Cu Kα (λ = 1.5418 Å)).

The 6 most intense peaks (15 to 90 degrees two-theta), by intensity:
| two_theta | d (Å) | I_rel | index |
| --- | --- | --- | --- |
| 39.60 | 2.276 | 100 | 3 0 1 |
| 46.31 | 1.960 | 32 | 3 3 0 |
| 81.26 | 1.184 | 25 | 6 3 1 |
| 66.98 | 1.397 | 21 | 3 3 2 |
| 45.54 | 1.992 | 17 | 0 0 2 |
| 80.14 | 1.198 | 13 | 3 0 3 |

Structure:
```
data_ZnPd4Pt4
_symmetry_space_group_name_H-M 'I 4/m m m'
_symmetry_Int_Tables_number 139
_symmetry_space_group_name_Hall '-I 4 2'
_cell_length_a 8.317
_cell_length_b 8.317
_cell_length_c 3.984
_cell_angle_alpha 90.00
_cell_angle_beta 90.00
_cell_angle_gamma 90.00
loop_
_atom_site_label
_atom_site_fract_x
_atom_site_fract_y
_atom_site_fract_z
Zn1 0.000 0.000 0.000
Pd1 0.000 0.329 0.000
Pt1 0.164 0.164 0.500
```


Entry 7:
For ZnPd2Pt, a DFT-relaxed cell (GGA-PBE, Alexandria) gives the calculated powder X-ray diffraction pattern in this record (Cu Kα (λ = 1.5418 Å)).

The 6 most intense peaks (15 to 90 degrees two-theta), by intensity:
| two_theta | d (Å) | I_rel | index |
| --- | --- | --- | --- |
| 39.94 | 2.257 | 100 | 1 2 2 |
| 43.06 | 2.101 | 51 | 1 3 1 |
| 39.53 | 2.280 | 38 | 0 1 3 |
| 41.41 | 2.181 | 35 | 2 0 1 |
| 78.63 | 1.217 | 35 | 2 0 5 |
| 41.09 | 2.197 | 30 | 1 3 0 |

Structure:
```
data_ZnPd2Pt
_symmetry_space_group_name_H-M 'P n a 21'
_symmetry_Int_Tables_number 33
_symmetry_space_group_name_Hall 'P 2c -2n'
_cell_length_a 4.578
_cell_length_b 7.512
_cell_length_c 7.179
_cell_angle_alpha 90.00
_cell_angle_beta 90.00
_cell_angle_gamma 90.00
loop_
_atom_site_label
_atom_site_fract_x
_atom_site_fract_y
_atom_site_fract_z
Zn1 0.176 0.156 0.000
Pd1 0.156 0.532 0.998
Pd2 0.160 0.852 0.802
Pt1 0.164 0.848 0.195
```


Entry 8:
For Zn3PdPt6, a DFT-relaxed cell (GGA-PBE, Alexandria) gives the calculated powder X-ray diffraction pattern in this record (Cu Kα (λ = 1.5418 Å)).

The 6 most intense peaks (15 to 90 degrees two-theta), by intensity:
| two_theta | d (Å) | I_rel | index |
| --- | --- | --- | --- |
| 42.36 | 2.134 | 100 | 3 1 -2 |
| 42.26 | 2.139 | 98 | 1 1 -4 |
| 43.03 | 2.102 | 75 | 2 1 2 |
| 39.84 | 2.263 | 74 | 0 2 0 |
| 74.02 | 1.281 | 38 | 3 3 -2 |
| 37.90 | 2.374 | 30 | 2 0 2 |

Structure:
```
data_Zn3PdPt6
_symmetry_space_group_name_H-M 'P 1 21/m 1'
_symmetry_Int_Tables_number 11
_symmetry_space_group_name_Hall '-P 2yb'
_cell_length_a 7.357
_cell_length_b 4.525
_cell_length_c 9.710
_cell_angle_alpha 90.00
_cell_angle_beta 110.54
_cell_angle_gamma 90.00
loop_
_atom_site_label
_atom_site_fract_x
_atom_site_fract_y
_atom_site_fract_z
Zn1 0.088 0.250 0.231
Zn2 0.293 0.250 0.027
Zn3 0.306 0.750 0.377
Pd1 0.103 0.750 0.568
Pt1 0.093 0.250 0.732
Pt2 0.107 0.750 0.074
Pt3 0.301 0.750 0.867
Pt4 0.305 0.250 0.535
Pt5 0.479 0.250 0.321
Pt6 0.496 0.250 0.835
```


Entry 9:
For ZnPdPt, a DFT-relaxed cell (GGA-PBE, Alexandria) gives the calculated powder X-ray diffraction pattern in this record (Cu Kα (λ = 1.5418 Å)).

The 6 most intense peaks (15 to 90 degrees two-theta), by intensity:
| two_theta | d (Å) | I_rel | index |
| --- | --- | --- | --- |
| 39.88 | 2.260 | 100 | 1 1 -2 |
| 40.05 | 2.252 | 98 | 3 1 0 |
| 44.66 | 2.029 | 36 | 4 0 -2 |
| 46.53 | 1.952 | 33 | 0 2 0 |
| 48.20 | 1.888 | 28 | 2 0 2 |
| 66.47 | 1.407 | 22 | 4 2 -2 |

Structure:
```
data_ZnPdPt
_symmetry_space_group_name_H-M 'C 1 m 1'
_symmetry_Int_Tables_number 8
_symmetry_space_group_name_Hall 'C -2y'
_cell_length_a 8.932
_cell_length_b 3.904
_cell_length_c 5.559
_cell_angle_alpha 90.00
_cell_angle_beta 112.21
_cell_angle_gamma 90.00
loop_
_atom_site_label
_atom_site_fract_x
_atom_site_fract_y
_atom_site_fract_z
Zn1 0.000 0.000 0.000
Zn2 0.171 0.500 0.811
Pd1 0.008 0.000 0.500
Pd2 0.325 0.000 0.144
Pt1 0.164 0.500 0.311
Pt2 0.347 0.000 0.667
```


Entry 10:
For Zn8PdPt2, a DFT-relaxed cell (GGA-PBE, Alexandria) gives the calculated powder X-ray diffraction pattern in this record (Cu Kα (λ = 1.5418 Å)).

The 6 most intense peaks (15 to 90 degrees two-theta), by intensity:
| two_theta | d (Å) | I_rel | index |
| --- | --- | --- | --- |
| 40.82 | 2.211 | 100 | 0 4 1 |
| 41.57 | 2.172 | 86 | 3 1 1 |
| 42.65 | 2.120 | 45 | 0 0 2 |
| 43.47 | 2.082 | 44 | 3 3 0 |
| 22.73 | 3.913 | 37 | 2 0 0 |
| 62.54 | 1.485 | 29 | 3 3 2 |

Structure:
```
data_Zn8PdPt2
_symmetry_space_group_name_H-M 'C m m m'
_symmetry_Int_Tables_number 65
_symmetry_space_group_name_Hall '-C 2 2'
_cell_length_a 7.826
_cell_length_b 10.363
_cell_length_c 4.240
_cell_angle_alpha 90.00
_cell_angle_beta 90.00
_cell_angle_gamma 90.00
loop_
_atom_site_label
_atom_site_fract_x
_atom_site_fract_y
_atom_site_fract_z
Zn1 0.000 0.244 0.000
Zn2 0.166 0.131 0.500
Zn3 0.166 0.500 0.000
Pd1 0.000 0.000 0.000
Pt1 0.000 0.368 0.500
```


Entry 11:
For Zn6Pd3Pt, a DFT-relaxed cell (GGA-PBE, Alexandria) gives the calculated powder X-ray diffraction pattern in this record (Cu Kα (λ = 1.5418 Å)).

The 6 most intense peaks (15 to 90 degrees two-theta), by intensity:
| two_theta | d (Å) | I_rel | index |
| --- | --- | --- | --- |
| 42.68 | 2.118 | 100 | 1 1 -4 |
| 40.26 | 2.240 | 33 | 0 2 0 |
| 38.92 | 2.314 | 23 | 2 0 2 |
| 74.85 | 1.269 | 18 | 1 3 -4 |
| 44.05 | 2.056 | 17 | 2 1 2 |
| 57.24 | 1.609 | 15 | 2 2 2 |

Structure:
```
data_Zn6Pd3Pt
_symmetry_space_group_name_H-M 'P 1 21/m 1'
_symmetry_Int_Tables_number 11
_symmetry_space_group_name_Hall '-P 2yb'
_cell_length_a 7.284
_cell_length_b 4.480
_cell_length_c 9.627
_cell_angle_alpha 90.00
_cell_angle_beta 111.82
_cell_angle_gamma 90.00
loop_
_atom_site_label
_atom_site_fract_x
_atom_site_fract_y
_atom_site_fract_z
Zn1 0.002 0.250 0.170
Zn2 0.018 0.250 0.679
Zn3 0.192 0.750 0.130
Zn4 0.229 0.250 0.488
Zn5 0.390 0.750 0.922
Zn6 0.431 0.250 0.286
Pd1 0.165 0.750 0.624
Pd2 0.207 0.250 0.986
Pd3 0.420 0.250 0.786
Pt1 0.373 0.750 0.419
```


Entry 12:
For Zn2Pd5Pt5, a DFT-relaxed cell (GGA-PBE, Alexandria) gives the calculated powder X-ray diffraction pattern in this record (Cu Kα (λ = 1.5418 Å)).

The 6 most intense peaks (15 to 90 degrees two-theta), by intensity:
| two_theta | d (Å) | I_rel | index |
| --- | --- | --- | --- |
| 38.35 | 2.347 | 100 | 0 2 0 |
| 42.18 | 2.142 | 77 | 3 1 -3 |
| 42.28 | 2.137 | 77 | 3 1 1 |
| 71.96 | 1.312 | 46 | 3 3 1 |
| 55.36 | 1.660 | 35 | 0 2 4 |
| 72.14 | 1.309 | 15 | 3 1 5 |

Structure:
```
data_Zn2Pd5Pt5
_symmetry_space_group_name_H-M 'C 1 2/m 1'
_symmetry_Int_Tables_number 12
_symmetry_space_group_name_Hall '-C 2y'
_cell_length_a 8.398
_cell_length_b 4.696
_cell_length_c 9.802
_cell_angle_alpha 90.00
_cell_angle_beta 106.79
_cell_angle_gamma 90.00
loop_
_atom_site_label
_atom_site_fract_x
_atom_site_fract_y
_atom_site_fract_z
Zn1 0.084 0.000 0.248
Pd1 0.000 0.500 0.000
Pd2 0.083 0.500 0.752
Pd3 0.170 0.500 0.506
Pt1 0.000 0.000 0.500
Pt2 0.165 0.000 0.993
Pt3 0.249 0.500 0.257
```